Diffraction record for Er7Ni2Pd2. The powder X-ray diffraction pattern is calculated, not measured: it uses a DFT-relaxed cell (PBE, Alexandria) and Cu Kα, 1.54184 Å.
Kinematic intensities with the Lorentz-polarization factor, no thermal factor.

Principal peaks in the range 10° ≤ 2θ ≤ 90°, by angle:
d [Å]	2θ/deg	I_rel
3.056	29.22	26
2.976	30.02	20
2.955	30.24	22
2.899	30.84	37
2.838	31.52	51
2.659	33.71	46
2.545	35.27	100
2.511	35.75	41
2.270	39.71	25
2.235	40.36	19
1.837	49.64	30
1.738	52.65	20

Structural model:
```
data_Er7Ni2Pd2
_symmetry_space_group_name_H-M 'P 1'
_symmetry_Int_Tables_number 1
_symmetry_space_group_name_Hall 'P 1'
_cell_length_a 9.1307
_cell_length_b 9.1307
_cell_length_c 9.1307
_cell_angle_alpha 156.80
_cell_angle_beta 66.81
_cell_angle_gamma 118.34
loop_
_atom_site_label
_atom_site_fract_x
_atom_site_fract_y
_atom_site_fract_z
_atom_site_occupancy
Er1 0.0000 0.0000 0.0000 1
Er2 0.2693 0.3870 0.8823 1
Er3 0.2861 0.5915 0.6946 1
Er4 0.5046 0.3870 0.1177 1
Er5 0.6105 0.2380 0.3725 1
Er6 0.8655 0.2380 0.6275 1
Er7 0.8969 0.5915 0.3054 1
Ni1 0.1263 0.8860 0.2403 1
Ni2 0.6458 0.8860 0.7597 1
Pd1 0.2279 0.7279 0.5000 1
Pd2 0.6317 0.6317 0.0000 1
```


Diffraction record for Er4Ni3Pd. The powder X-ray diffraction pattern is calculated, not measured: it uses a DFT-relaxed cell (PBE, Alexandria) and Cu Kα, 1.54184 Å.
Kinematic intensities with the Lorentz-polarization factor, no thermal factor.

Principal peaks in the range 10° ≤ 2θ ≤ 90°, by angle:
d [Å]	2θ/deg	I_rel
3.293	27.08	31
2.690	33.31	100
2.536	35.39	27
2.480	36.22	34
2.188	41.26	17
2.165	41.73	29
2.152	41.98	49
1.824	49.99	18
1.646	55.84	14
1.631	56.42	19
1.395	67.10	14
1.144	84.76	17

Structural model:
```
data_Er4Ni3Pd
_symmetry_space_group_name_H-M 'P 1'
_symmetry_Int_Tables_number 1
_symmetry_space_group_name_Hall 'P 1'
_cell_length_a 3.6489
_cell_length_b 4.3291
_cell_length_c 10.1446
_cell_angle_alpha 90.00
_cell_angle_beta 90.00
_cell_angle_gamma 90.00
loop_
_atom_site_label
_atom_site_fract_x
_atom_site_fract_y
_atom_site_fract_z
_atom_site_occupancy
Er1 0.0000 0.0000 0.0000 1
Er2 0.0000 0.5000 0.2692 1
Er3 0.5000 0.0000 0.4855 1
Er4 0.5000 0.5000 0.7731 1
Ni1 0.0000 0.5000 0.5485 1
Ni2 0.5000 0.0000 0.2058 1
Ni3 0.5000 0.5000 0.0584 1
Pd1 0.0000 0.0000 0.7116 1
```